Theoretical powder XRD pattern
Compound: ErGeI
Radiation: Cu Kα X-rays
Structure: a crystal structure in Alexandria, relaxed with GGA-PBE
Peak positions follow from Bragg's law for the DFT cell and can differ from measured ones.

Crystal structure
Unit cell a=12.4256 b=12.4256 c=7.9749 alpha=94.12 beta=94.12 gamma=18.97
Sites, in units of the cell vectors:
Er1 0.1643 0.1643 0.0951
Er2 0.1638 0.1638 0.6072
Er3 0.8362 0.8362 0.3928
Er4 0.8357 0.8357 0.9049
Ge1 0.2502 0.2502 0.3712
Ge2 0.2527 0.2527 0.8661
Ge3 0.7473 0.7473 0.1339
Ge4 0.7498 0.7498 0.6288
I1 0.0723 0.0723 0.3287
I2 0.3998 0.3998 0.1652
I3 0.6002 0.6002 0.8348
I4 0.9277 0.9277 0.6713

Most intense lines, 2θ = 5–70°, in order of falling intensity:
d [Å], 2θ (°), Rel. int.
12.223, 7.23, 100
2.266, 39.79, 45
2.410, 37.31, 36
2.522, 35.59, 34
3.450, 25.82, 30
3.227, 27.64, 26
3.659, 24.32, 25
1.987, 45.66, 22
2.048, 44.23, 20
6.112, 14.49, 17
2.651, 33.81, 17
4.039, 22.01, 15